The following is a simulated powder X-ray diffraction pattern of Cd5In3Sn3. It was derived from DFT lattice parameters and positions (GGA-PBE), using Cu Kα X-rays.
Lines closer than 0.1° are merged.

Principal peaks in the range 15 to 90 degrees two-theta, most intense first:
| hkl | d [Å] | 2θ (°) | Rel. int. |
| --- | --- | --- | --- |
| 2 1 1 | 2.497 | 35.96 | 100 |
| 1 1 1 | 3.170 | 28.15 | 55 |
| 2 2 1 | 2.057 | 44.03 | 39 |
| 0 0 1 | 4.309 | 20.61 | 38 |
| 2 1 0 | 3.065 | 29.14 | 36 |
| 3 1 0 | 2.249 | 40.10 | 35 |
| 3 0 0 | 2.703 | 33.15 | 31 |
| 0 0 2 | 2.155 | 41.93 | 29 |
| 2 0 1 | 2.953 | 30.27 | 24 |
| 3 1 2 | 1.556 | 59.41 | 21 |
| 4 3 1 | 1.273 | 74.52 | 17 |
| 2 1 2 | 1.763 | 51.88 | 15 |

Cell and atoms:
```
data_Cd5In3Sn3
_chemical_formula_sum 'Cd5 In3 Sn3'
_cell_length_a 9.3623
_cell_length_b 9.3623
_cell_length_c 4.3090
_cell_angle_alpha 90.00
_cell_angle_beta 90.00
_cell_angle_gamma 120.00
_space_group_name_H-M_alt 'P -6 2 m'
_space_group_IT_number 189
_space_group_name_Hall 'P -6 -2'
loop_
_atom_site_label
_atom_site_fract_x
_atom_site_fract_y
_atom_site_fract_z
Cd1 0.0000 0.6314 0.0000
Cd2 0.3333 0.6667 0.0000
In1 0.0000 0.4152 0.5000
Sn1 0.0000 0.1900 0.0000
```



The following is a simulated powder X-ray diffraction pattern of Cd7In4Sn. It was derived from DFT lattice parameters and positions (GGA-PBE), using Cu Kα X-rays.
Lines closer than 0.1° are merged.

Principal peaks in the range 15 to 90 degrees two-theta, most intense first:
| hkl | d [Å] | 2θ (°) | Rel. int. |
| --- | --- | --- | --- |
| 1 0 4 | 2.679 | 33.45 | 100 |
| 0 1 8 | 2.310 | 38.99 | 65 |
| 0 0 12 | 2.634 | 34.04 | 31 |
| 1 1 12 | 1.395 | 67.11 | 24 |
| 1 1 0 | 1.644 | 55.93 | 22 |
| 1 0 16 | 1.623 | 56.72 | 20 |
| 0 2 4 | 1.401 | 66.76 | 13 |
| 0 1 20 | 1.382 | 67.83 | 11 |
| 2 0 8 | 1.339 | 70.27 | 11 |
| 0 2 16 | 1.155 | 83.74 | 6 |
| 0 0 24 | 1.317 | 71.67 | 3 |
| 0 1 18 | 1.495 | 62.11 | 1 |

Cell and atoms:
```
data_Cd7In4Sn
_chemical_formula_sum 'Cd7 In4 Sn1'
_cell_length_a 3.2882
_cell_length_b 3.2882
_cell_length_c 31.6034
_cell_angle_alpha 90.00
_cell_angle_beta 90.00
_cell_angle_gamma 120.00
_space_group_name_H-M_alt 'P -3 m 1'
_space_group_IT_number 164
_space_group_name_Hall '-P 3 2"'
loop_
_atom_site_label
_atom_site_fract_x
_atom_site_fract_y
_atom_site_fract_z
Cd1 0.0000 0.0000 0.0000
Cd2 0.0000 0.0000 0.2463
Cd3 0.3333 0.6667 0.1676
Cd4 0.3333 0.6667 0.4134
In1 0.3333 0.6667 0.6705
In2 0.3333 0.6667 0.9158
Sn1 0.0000 0.0000 0.5000
```



The following is a simulated powder X-ray diffraction pattern of Cd5In2Sn2. It was derived from DFT lattice parameters and positions (GGA-PBE), using Cu Kα X-rays.
Lines closer than 0.1° are merged.

Principal peaks in the range 15 to 90 degrees two-theta, most intense first:
| hkl | d [Å] | 2θ (°) | Rel. int. |
| --- | --- | --- | --- |
| 2 2 -2 | 2.363 | 38.09 | 100 |
| 0 4 0 | 2.896 | 30.87 | 89 |
| 4 2 1 | 2.422 | 37.12 | 57 |
| 3 1 1 | 3.008 | 29.70 | 40 |
| 5 1 -1 | 2.938 | 30.42 | 38 |
| 6 2 -1 | 2.375 | 37.88 | 33 |
| 2 6 -2 | 1.547 | 59.76 | 26 |
| 5 3 -1 | 2.388 | 37.68 | 21 |
| 4 0 1 | 2.665 | 33.63 | 20 |
| 6 0 -1 | 2.604 | 34.44 | 18 |
| 4 4 1 | 1.961 | 46.30 | 16 |
| 6 4 -1 | 1.936 | 46.92 | 15 |

Cell and atoms:
```
data_Cd5In2Sn2
_chemical_formula_sum 'Cd20 In8 Sn8'
_cell_length_a 16.0258
_cell_length_b 11.5847
_cell_length_c 5.1769
_cell_angle_alpha 90.00
_cell_angle_beta 107.33
_cell_angle_gamma 90.00
_space_group_name_H-M_alt 'C 1 2 1'
_space_group_IT_number 5
loop_
_space_group_symop_operation_xyz
'x,y,z'
'-x,y,-z'
'x+1/2,y+1/2,z'
'-x+1/2,y+1/2,-z'
loop_
_atom_site_label
_atom_site_fract_x
_atom_site_fract_y
_atom_site_fract_z
Cd1 0.0504 0.0000 0.3003
Cd2 0.0504 0.4980 0.3006
Cd3 0.1498 0.4996 0.8997
Cd4 0.1498 0.9980 0.8989
Cd5 0.2500 0.4982 0.5004
In1 0.1253 0.2488 0.6158
In2 0.1250 0.7488 0.1358
Sn1 0.0000 0.2488 0.0000
Sn2 0.0000 0.7487 0.5000
Sn3 0.2494 0.7483 0.7644
```



The following is a simulated powder X-ray diffraction pattern of Cd3In6Sn2. It was derived from DFT lattice parameters and positions (GGA-PBE), using Cu Kα X-rays.
Lines closer than 0.1° are merged.

Principal peaks in the range 15 to 90 degrees two-theta, most intense first:
| hkl | d [Å] | 2θ (°) | Rel. int. |
| --- | --- | --- | --- |
| 0 1 11 | 2.754 | 32.51 | 100 |
| 1 0 22 | 2.353 | 38.25 | 59 |
| 1 1 0 | 1.699 | 53.98 | 24 |
| 0 0 33 | 2.612 | 34.33 | 23 |
| 1 1 33 | 1.424 | 65.55 | 20 |
| 2 0 11 | 1.446 | 64.46 | 16 |
| 1 2 11 | 1.101 | 88.89 | 13 |
| 0 1 44 | 1.631 | 56.42 | 13 |
| 0 2 22 | 1.377 | 68.08 | 10 |
| 1 0 55 | 1.383 | 67.74 | 5 |
| 2 0 44 | 1.176 | 81.89 | 4 |
| 0 1 41 | 1.711 | 53.57 | 4 |

Cell and atoms:
```
data_Cd3In6Sn2
_chemical_formula_sum 'Cd9 In18 Sn6'
_cell_length_a 3.3973
_cell_length_b 3.3973
_cell_length_c 86.2073
_cell_angle_alpha 90.00
_cell_angle_beta 90.00
_cell_angle_gamma 120.00
_space_group_name_H-M_alt 'R -3 m'
_space_group_IT_number 166
_space_group_name_Hall '-R 3 2"'
loop_
_atom_site_label
_atom_site_fract_x
_atom_site_fract_y
_atom_site_fract_z
Cd1 0.0000 0.0000 0.0000
Cd2 0.0000 0.0000 0.2757
In1 0.0000 0.0000 0.0871
In2 0.0000 0.0000 0.1828
In3 0.0000 0.0000 0.3622
Sn1 0.0000 0.0000 0.4518
```



The following is a simulated powder X-ray diffraction pattern of Cd7In3Sn2. It was derived from DFT lattice parameters and positions (GGA-PBE), using Cu Kα X-rays.
Lines closer than 0.1° are merged.

Principal peaks in the range 15 to 90 degrees two-theta, most intense first:
| hkl | d [Å] | 2θ (°) | Rel. int. |
| --- | --- | --- | --- |
| 1 1 -2 | 2.650 | 33.82 | 100 |
| 0 0 6 | 2.838 | 31.52 | 71 |
| 1 1 4 | 2.262 | 39.85 | 53 |
| 2 0 1 | 2.773 | 32.28 | 37 |
| 1 1 -3 | 2.520 | 35.63 | 32 |
| 2 0 -5 | 2.297 | 39.22 | 28 |
| 2 0 2 | 2.633 | 34.05 | 23 |
| 2 0 -1 | 2.859 | 31.29 | 20 |
| 3 1 -1 | 1.632 | 56.36 | 18 |
| 3 1 6 | 1.365 | 68.80 | 17 |
| 1 1 3 | 2.431 | 36.98 | 17 |
| 1 1 -8 | 1.721 | 53.23 | 17 |

Cell and atoms:
```
data_Cd7In3Sn2
_chemical_formula_sum 'Cd7 In3 Sn2'
_cell_length_a 5.7344
_cell_length_b 3.1341
_cell_length_c 17.1064
_cell_angle_alpha 90.00
_cell_angle_beta 95.41
_cell_angle_gamma 90.00
_space_group_name_H-M_alt 'P 1 2/m 1'
_space_group_IT_number 10
loop_
_space_group_symop_operation_xyz
'x,y,z'
'-x,-y,-z'
'-x,y,-z'
'x,-y,z'
loop_
_atom_site_label
_atom_site_fract_x
_atom_site_fract_y
_atom_site_fract_z
Cd1 0.0000 0.0000 0.0000
Cd2 0.1104 0.5000 0.8483
Cd3 0.2463 0.5000 0.4862
Cd4 0.4118 0.0000 0.1609
In1 0.2820 0.0000 0.6548
In2 0.5000 0.5000 0.0000
Sn1 0.2048 0.5000 0.3074
```



The following is a simulated powder X-ray diffraction pattern of Cd3In4Sn2. It was derived from DFT lattice parameters and positions (GGA-PBE), using Cu Kα X-rays.
Lines closer than 0.1° are merged.

Principal peaks in the range 15 to 90 degrees two-theta, most intense first:
| hkl | d [Å] | 2θ (°) | Rel. int. |
| --- | --- | --- | --- |
| 0 1 5 | 2.492 | 36.04 | 100 |
| 1 0 4 | 2.619 | 34.24 | 73 |
| 1 0 0 | 2.901 | 30.83 | 52 |
| 0 0 9 | 2.705 | 33.11 | 51 |
| 1 1 9 | 1.424 | 65.56 | 41 |
| 1 1 0 | 1.675 | 54.82 | 38 |
| 1 0 9 | 1.978 | 45.87 | 32 |
| 0 1 14 | 1.492 | 62.24 | 26 |
| 2 0 5 | 1.390 | 67.37 | 15 |
| 0 1 6 | 2.360 | 38.14 | 12 |
| 2 0 14 | 1.114 | 87.60 | 11 |
| 0 1 3 | 2.731 | 32.79 | 10 |

Cell and atoms:
```
data_Cd3In4Sn2
_chemical_formula_sum 'Cd3 In4 Sn2'
_cell_length_a 3.3495
_cell_length_b 3.3495
_cell_length_c 24.3468
_cell_angle_alpha 90.00
_cell_angle_beta 90.00
_cell_angle_gamma 120.00
_space_group_name_H-M_alt 'P 3 m 1'
_space_group_IT_number 156
loop_
_space_group_symop_operation_xyz
'x,y,z'
'-y,x-y,z'
'-x+y,-x,z'
'-y,-x,z'
'-x+y,y,z'
'x,x-y,z'
loop_
_atom_site_label
_atom_site_fract_x
_atom_site_fract_y
_atom_site_fract_z
Cd1 0.0000 0.0000 0.0000
Cd2 0.0000 0.0000 0.3397
Cd3 0.3333 0.6667 0.6702
In1 0.0000 0.0000 0.5626
In2 0.0000 0.0000 0.7781
In3 0.3333 0.6667 0.1051
In4 0.3333 0.6667 0.8926
Sn1 0.3333 0.6667 0.2326
Sn2 0.3333 0.6667 0.4470
```



The following is a simulated powder X-ray diffraction pattern of Sr2Cd4In3Sn. It was derived from DFT lattice parameters and positions (GGA-PBE), using Cu Kα X-rays.
Lines closer than 0.1° are merged.

Principal peaks in the range 15 to 90 degrees two-theta, most intense first:
| hkl | d [Å] | 2θ (°) | Rel. int. |
| --- | --- | --- | --- |
| 1 1 2 | 2.976 | 30.03 | 100 |
| 2 0 0 | 2.400 | 37.47 | 65 |
| 1 1 4 | 2.287 | 39.41 | 49 |
| 1 0 3 | 3.129 | 28.53 | 38 |
| 1 0 5 | 2.200 | 41.02 | 30 |
| 3 1 2 | 1.474 | 63.06 | 23 |
| 2 1 5 | 1.622 | 56.76 | 22 |
| 2 2 0 | 1.697 | 54.03 | 22 |
| 2 1 3 | 1.904 | 47.76 | 18 |
| 3 1 4 | 1.363 | 68.90 | 18 |
| 1 0 1 | 4.475 | 19.84 | 17 |
| 2 0 8 | 1.300 | 72.72 | 15 |

Cell and atoms:
```
data_Sr2Cd4In3Sn
_chemical_formula_sum 'Sr2 Cd4 In3 Sn1'
_cell_length_a 4.8001
_cell_length_b 4.8001
_cell_length_c 12.3770
_cell_angle_alpha 90.00
_cell_angle_beta 90.00
_cell_angle_gamma 90.00
_space_group_name_H-M_alt 'P -4 m 2'
_space_group_IT_number 115
loop_
_space_group_symop_operation_xyz
'x,y,z'
'y,-x,-z'
'-x,-y,z'
'-y,x,-z'
'-x,y,z'
'-y,-x,-z'
'x,-y,z'
'y,x,-z'
loop_
_atom_site_label
_atom_site_fract_x
_atom_site_fract_y
_atom_site_fract_z
Sr1 0.0000 0.5000 0.2474
Cd1 0.0000 0.0000 0.0000
Cd2 0.0000 0.5000 0.6409
Cd3 0.5000 0.5000 0.0000
In1 0.0000 0.5000 0.8649
In2 0.5000 0.5000 0.5000
Sn1 0.0000 0.0000 0.5000
```



The following is a simulated powder X-ray diffraction pattern of Sr2Cd3In4. It was derived from DFT lattice parameters and positions (GGA-PBE), using Cu Kα X-rays.
Lines closer than 0.1° are merged.

Principal peaks in the range 15 to 90 degrees two-theta, most intense first:
| hkl | d [Å] | 2θ (°) | Rel. int. |
| --- | --- | --- | --- |
| 2 0 2 | 2.620 | 34.22 | 100 |
| 1 5 1 | 2.920 | 30.61 | 64 |
| 0 6 2 | 2.447 | 36.73 | 50 |
| 2 2 1 | 2.879 | 31.06 | 38 |
| 2 6 4 | 1.554 | 59.47 | 31 |
| 0 2 3 | 2.808 | 31.87 | 30 |
| 2 6 0 | 2.175 | 41.52 | 26 |
| 0 6 1 | 2.784 | 32.16 | 21 |
| 1 1 3 | 2.664 | 33.64 | 18 |
| 0 0 4 | 2.222 | 40.59 | 18 |
| 1 1 1 | 5.022 | 17.66 | 16 |
| 3 5 1 | 1.804 | 50.60 | 15 |

Cell and atoms:
```
data_Sr2Cd3In4
_chemical_formula_sum 'Sr8 Cd12 In16'
_cell_length_a 6.4875
_cell_length_b 17.5868
_cell_length_c 8.8896
_cell_angle_alpha 90.00
_cell_angle_beta 90.00
_cell_angle_gamma 90.00
_space_group_name_H-M_alt 'C m c e'
_space_group_IT_number 64
_space_group_name_Hall '-C 2ac 2'
loop_
_atom_site_label
_atom_site_fract_x
_atom_site_fract_y
_atom_site_fract_z
Sr1 0.0000 0.1060 0.0979
Cd1 0.0000 0.0000 0.5000
Cd2 0.2500 0.2334 0.7500
In1 0.0000 0.1755 0.4858
In2 0.2500 0.0638 0.7500
```



The following is a simulated powder X-ray diffraction pattern of Sr2Cd3In5. It was derived from DFT lattice parameters and positions (GGA-PBE), using Cu Kα X-rays.
Lines closer than 0.1° are merged.

Principal peaks in the range 15 to 90 degrees two-theta, most intense first:
| hkl | d [Å] | 2θ (°) | Rel. int. |
| --- | --- | --- | --- |
| 1 1 2 | 2.983 | 29.96 | 100 |
| 2 0 0 | 2.401 | 37.45 | 64 |
| 1 1 4 | 2.298 | 39.21 | 48 |
| 1 0 3 | 3.145 | 28.38 | 37 |
| 1 0 5 | 2.215 | 40.73 | 30 |
| 3 1 2 | 1.476 | 62.99 | 23 |
| 2 1 5 | 1.628 | 56.52 | 22 |
| 2 2 0 | 1.698 | 54.01 | 22 |
| 2 1 3 | 1.909 | 47.65 | 18 |
| 3 1 4 | 1.366 | 68.74 | 17 |
| 1 0 1 | 4.482 | 19.81 | 17 |
| 2 0 8 | 1.308 | 72.20 | 14 |

Cell and atoms:
```
data_Sr2Cd3In5
_chemical_formula_sum 'Sr2 Cd3 In5'
_cell_length_a 4.8025
_cell_length_b 4.8025
_cell_length_c 12.4832
_cell_angle_alpha 90.00
_cell_angle_beta 90.00
_cell_angle_gamma 90.00
_space_group_name_H-M_alt 'P -4 m 2'
_space_group_IT_number 115
loop_
_space_group_symop_operation_xyz
'x,y,z'
'y,-x,-z'
'-x,-y,z'
'-y,x,-z'
'-x,y,z'
'-y,-x,-z'
'x,-y,z'
'y,x,-z'
loop_
_atom_site_label
_atom_site_fract_x
_atom_site_fract_y
_atom_site_fract_z
Sr1 0.0000 0.5000 0.2461
Cd1 0.0000 0.0000 0.0000
Cd2 0.0000 0.5000 0.8664
In1 0.0000 0.0000 0.5000
In2 0.0000 0.5000 0.6434
In3 0.5000 0.5000 0.0000
In4 0.5000 0.5000 0.5000
```



The following is a simulated powder X-ray diffraction pattern of SrCd3In4. It was derived from DFT lattice parameters and positions (GGA-PBE), using Cu Kα X-rays.
Lines closer than 0.1° are merged.

Principal peaks in the range 15 to 90 degrees two-theta, most intense first:
| hkl | d [Å] | 2θ (°) | Rel. int. |
| --- | --- | --- | --- |
| 2 0 0 | 2.513 | 35.73 | 100 |
| 1 1 3 | 2.294 | 39.27 | 92 |
| 1 1 2 | 2.790 | 32.08 | 61 |
| 1 1 1 | 3.306 | 26.97 | 48 |
| 1 0 2 | 3.355 | 26.57 | 42 |
| 3 1 3 | 1.405 | 66.56 | 37 |
| 2 2 0 | 1.777 | 51.42 | 34 |
| 1 0 1 | 4.390 | 20.23 | 27 |
| 2 1 2 | 2.011 | 45.07 | 20 |
| 1 0 4 | 2.055 | 44.06 | 20 |
| 2 0 6 | 1.289 | 73.46 | 18 |
| 3 1 2 | 1.499 | 61.90 | 17 |

Cell and atoms:
```
data_SrCd3In4
_chemical_formula_sum 'Sr1 Cd3 In4'
_cell_length_a 5.0264
_cell_length_b 5.0264
_cell_length_c 9.0098
_cell_angle_alpha 90.00
_cell_angle_beta 90.00
_cell_angle_gamma 90.00
_space_group_name_H-M_alt 'P 4/m m m'
_space_group_IT_number 123
_space_group_name_Hall '-P 4 2'
loop_
_atom_site_label
_atom_site_fract_x
_atom_site_fract_y
_atom_site_fract_z
Sr1 0.0000 0.0000 0.0000
Cd1 0.0000 0.0000 0.5000
Cd2 0.5000 0.5000 0.1521
In1 0.0000 0.5000 0.3192
```



The following is a simulated powder X-ray diffraction pattern of SrCd3In. It was derived from DFT lattice parameters and positions (GGA-PBE), using Cu Kα X-rays.
Lines closer than 0.1° are merged.

Principal peaks in the range 15 to 90 degrees two-theta, most intense first:
| hkl | d [Å] | 2θ (°) | Rel. int. |
| --- | --- | --- | --- |
| 1 1 2 | 2.946 | 30.34 | 100 |
| 2 0 0 | 2.364 | 38.07 | 65 |
| 1 1 4 | 2.279 | 39.54 | 51 |
| 1 0 3 | 3.120 | 28.61 | 44 |
| 1 0 5 | 2.205 | 40.94 | 32 |
| 2 1 5 | 1.612 | 57.13 | 25 |
| 3 1 2 | 1.454 | 64.05 | 22 |
| 2 2 0 | 1.672 | 54.93 | 22 |
| 2 1 3 | 1.884 | 48.31 | 21 |
| 2 0 8 | 1.301 | 72.69 | 19 |
| 3 1 4 | 1.348 | 69.77 | 18 |
| 1 0 1 | 4.420 | 20.09 | 17 |

Cell and atoms:
```
data_SrCd3In
_chemical_formula_sum 'Sr2 Cd6 In2'
_cell_length_a 4.7277
_cell_length_b 4.7277
_cell_length_c 12.4602
_cell_angle_alpha 90.00
_cell_angle_beta 90.00
_cell_angle_gamma 90.00
_space_group_name_H-M_alt 'I 4 m m'
_space_group_IT_number 107
_space_group_name_Hall 'I 4 -2'
loop_
_atom_site_label
_atom_site_fract_x
_atom_site_fract_y
_atom_site_fract_z
Sr1 0.0000 0.0000 0.0000
Cd1 0.0000 0.0000 0.3876
Cd2 0.0000 0.5000 0.2517
In1 0.0000 0.0000 0.6135
```



The following is a simulated powder X-ray diffraction pattern of Sr8CdIn2. It was derived from DFT lattice parameters and positions (GGA-PBE), using Cu Kα X-rays.
Lines closer than 0.1° are merged.

Principal peaks in the range 15 to 90 degrees two-theta, most intense first:
| hkl | d [Å] | 2θ (°) | Rel. int. |
| --- | --- | --- | --- |
| 1 2 3 | 3.062 | 29.17 | 100 |
| 2 0 0 | 2.865 | 31.21 | 30 |
| 1 1 4 | 3.133 | 28.49 | 30 |
| 3 2 3 | 1.690 | 54.29 | 18 |
| 0 0 6 | 2.701 | 33.17 | 15 |
| 0 3 1 | 3.191 | 27.96 | 15 |
| 2 0 6 | 1.965 | 46.19 | 12 |
| 2 3 7 | 1.576 | 58.59 | 11 |
| 1 5 4 | 1.682 | 54.57 | 10 |
| 0 3 7 | 1.886 | 48.24 | 10 |
| 2 3 1 | 2.132 | 42.40 | 9 |
| 1 3 2 | 2.672 | 33.54 | 9 |

Cell and atoms:
```
data_Sr8CdIn2
_chemical_formula_sum 'Sr16 Cd2 In4'
_cell_length_a 5.7310
_cell_length_b 9.7633
_cell_length_c 16.2046
_cell_angle_alpha 90.00
_cell_angle_beta 90.00
_cell_angle_gamma 90.00
_space_group_name_H-M_alt 'I m m m'
_space_group_IT_number 71
_space_group_name_Hall '-I 2 2'
loop_
_atom_site_label
_atom_site_fract_x
_atom_site_fract_y
_atom_site_fract_z
Sr1 0.0000 0.0000 0.1351
Sr2 0.0000 0.2126 0.3397
Sr3 0.0000 0.3235 0.0000
Cd1 0.0000 0.5000 0.5000
In1 0.0000 0.5000 0.1957
```



The following is a simulated powder X-ray diffraction pattern of SrCd2In. It was derived from DFT lattice parameters and positions (GGA-PBE), using Cu Kα X-rays.
Lines closer than 0.1° are merged.

Principal peaks in the range 15 to 90 degrees two-theta, most intense first:
| hkl | d [Å] | 2θ (°) | Rel. int. |
| --- | --- | --- | --- |
| 0 1 2 | 2.631 | 34.08 | 100 |
| 1 1 1 | 2.699 | 33.19 | 49 |
| 0 2 0 | 2.577 | 34.81 | 47 |
| 1 0 0 | 3.703 | 24.03 | 44 |
| 1 1 2 | 2.145 | 42.14 | 39 |
| 1 0 1 | 3.168 | 28.17 | 36 |
| 2 1 2 | 1.514 | 61.22 | 35 |
| 1 1 0 | 3.007 | 29.71 | 31 |
| 1 2 1 | 1.999 | 45.36 | 19 |
| 1 2 0 | 2.115 | 42.74 | 19 |
| 2 0 0 | 1.851 | 49.21 | 17 |
| 2 2 0 | 1.504 | 61.68 | 17 |

Cell and atoms:
```
data_SrCd2In
_chemical_formula_sum 'Sr1 Cd2 In1'
_cell_length_a 3.7030
_cell_length_b 5.1548
_cell_length_c 6.1178
_cell_angle_alpha 90.00
_cell_angle_beta 90.00
_cell_angle_gamma 90.00
_space_group_name_H-M_alt 'P m m m'
_space_group_IT_number 47
loop_
_space_group_symop_operation_xyz
'x,y,z'
'-x,-y,-z'
'-x,-y,z'
'x,y,-z'
'x,-y,-z'
'-x,y,z'
'-x,y,-z'
'x,-y,z'
loop_
_atom_site_label
_atom_site_fract_x
_atom_site_fract_y
_atom_site_fract_z
Sr1 0.0000 0.0000 0.0000
Cd1 0.5000 0.5000 0.2477
In1 0.5000 0.0000 0.5000
```



The following is a simulated powder X-ray diffraction pattern of SrCdIn. It was derived from DFT lattice parameters and positions (GGA-PBE), using Cu Kα X-rays.
Lines closer than 0.1° are merged.

Principal peaks in the range 15 to 90 degrees two-theta, most intense first:
| hkl | d [Å] | 2θ (°) | Rel. int. |
| --- | --- | --- | --- |
| 1 0 1 | 2.971 | 30.07 | 100 |
| 1 1 0 | 2.548 | 35.23 | 80 |
| 1 1 2 | 1.578 | 58.50 | 36 |
| 2 0 1 | 1.934 | 46.98 | 28 |
| 2 1 1 | 1.540 | 60.06 | 27 |
| 1 1 1 | 2.152 | 41.99 | 20 |
| 0 0 1 | 4.019 | 22.12 | 18 |
| 3 0 2 | 1.187 | 81.03 | 16 |
| 3 0 0 | 1.471 | 63.22 | 14 |
| 0 0 2 | 2.010 | 45.12 | 13 |
| 3 1 1 | 1.171 | 82.37 | 11 |
| 2 2 0 | 1.274 | 74.49 | 9 |

Cell and atoms:
```
data_SrCdIn
_chemical_formula_sum 'Sr1 Cd1 In1'
_cell_length_a 5.0951
_cell_length_b 5.0951
_cell_length_c 4.0193
_cell_angle_alpha 90.00
_cell_angle_beta 90.00
_cell_angle_gamma 120.00
_space_group_name_H-M_alt 'P -6 m 2'
_space_group_IT_number 187
_space_group_name_Hall 'P -6 2'
loop_
_atom_site_label
_atom_site_fract_x
_atom_site_fract_y
_atom_site_fract_z
Sr1 0.0000 0.0000 0.0000
Cd1 0.6667 0.3333 0.5000
In1 0.3333 0.6667 0.5000
```